Theoretical powder X-ray diffraction pattern
Compound: LiHfOF2
Radiation: Cu Kα
Structure: a structure optimized by DFT (PBE)
Neutral-atom scattering factors, no anomalous dispersion.

Structure:
```
data_LiHfOF2
_chemical_formula_sum 'Li1 Hf1 O1 F2'
_symmetry_space_group_name_H-M 'P 4/m m m'
_symmetry_Int_Tables_number 123
_symmetry_space_group_name_Hall '-P 4 2'
_cell_length_a 4.2758
_cell_length_b 4.2758
_cell_length_c 4.0329
_cell_angle_alpha 90.00
_cell_angle_beta 90.00
_cell_angle_gamma 90.00
loop_
_atom_site_label
_atom_site_fract_x
_atom_site_fract_y
_atom_site_fract_z
Li1 0.0000 0.0000 0.0000
Hf1 0.5000 0.5000 0.5000
O1 0.5000 0.5000 0.0000
F1 0.0000 0.5000 0.5000
```

Main lines, by intensity (10 to 80 degrees two-theta):
d [Å]	2θ/deg	intensity	index
4.276	20.8	1000	1 0 0
2.934	30.5	584	1 0 1
4.033	22.0	461	0 0 1
3.023	29.5	293	1 1 0
1.728	53.0	262	2 1 1
2.138	42.3	248	2 0 0